Entry 1:
Starting from a structure optimized by DFT (PBE), the powder XRD pattern of Ba4RhI3 was simulated for Cu Kα (λ = 1.5418 Å).

Largest 6 diffraction maxima, sorted by position, 2θ = 5–70°:
d_spacing	2theta	I (rel.)
3.565	24.98	100
3.509	25.38	55
2.607	34.40	37
2.541	35.33	14
2.502	35.90	18
2.406	37.37	35

Structural model:
a = 9.123 Å, b = 10.162 Å, c = 8.200 Å
α = 90.00°, β = 109.14°, γ = 90.00°
Sites, in units of the cell vectors:
Ba 0.198 0.102 0.492
Ba 0.198 0.898 0.992
Ba 0.218 0.324 0.962
Ba 0.218 0.676 0.462
Ba 0.782 0.324 0.538
Ba 0.782 0.676 0.038
Ba 0.802 0.102 0.008
Ba 0.802 0.898 0.508
Rh 0.000 0.123 0.750
Rh 0.000 0.877 0.250
I 0.000 0.398 0.250
I 0.000 0.602 0.750
I 0.500 0.120 0.250
I 0.500 0.381 0.750
I 0.500 0.619 0.250
I 0.500 0.880 0.750


Entry 2:
Starting from a structure optimized by DFT (PBE), the powder XRD pattern of Ba6RhS2I3 was simulated for Cu Kα (λ = 1.5418 Å).

Largest 6 diffraction maxima, sorted by position, 2θ = 5–70°:
d_spacing	2theta	I (rel.)
3.410	26.13	100
3.158	28.26	19
2.484	36.16	29
2.347	38.36	27
2.342	38.44	13
1.932	47.03	19

Structural model:
a = 8.118 Å, b = 8.118 Å, c = 8.805 Å
α = 98.92°, β = 98.92°, γ = 119.88°
Sites, in units of the cell vectors:
Ba 0.066 0.389 0.197
Ba 0.260 0.260 0.801
Ba 0.389 0.066 0.197
Ba 0.611 0.934 0.803
Ba 0.740 0.740 0.199
Ba 0.934 0.611 0.803
Rh 0.000 0.000 0.000
S 0.333 0.667 0.000
S 0.667 0.333 0.000
I 0.169 0.831 0.500
I 0.500 0.500 0.500
I 0.831 0.169 0.500


Entry 3:
Starting from a structure optimized by DFT (PBE), the powder XRD pattern of Ba4SI4 was simulated for Cu Kα (λ = 1.5418 Å).

Largest 6 diffraction maxima, sorted by position, 2θ = 5–70°:
d_spacing	2theta	I (rel.)
3.430	25.98	100
3.403	26.18	49
2.450	36.68	17
2.435	36.92	36
2.399	37.49	56
1.962	46.27	20

Structural model:
a = 8.386 Å, b = 8.386 Å, c = 12.057 Å
α = 119.16°, β = 119.16°, γ = 33.28°
Sites, in units of the cell vectors:
Ba 0.086 0.086 0.416
Ba 0.313 0.313 0.224
Ba 0.687 0.687 0.776
Ba 0.914 0.914 0.584
S 0.500 0.500 0.500
I 0.102 0.102 0.905
I 0.313 0.313 0.705
I 0.687 0.687 0.295
I 0.898 0.898 0.095


Entry 4:
Starting from a structure optimized by DFT (PBE), the powder XRD pattern of BaS4I was simulated for Cu Kα (λ = 1.5418 Å).

Largest 6 diffraction maxima, sorted by position, 2θ = 5–70°:
d_spacing	2theta	I (rel.)
7.408	11.95	77
6.852	12.92	93
3.944	22.55	100
3.428	26.00	86
3.181	28.05	63
3.155	28.29	68

Structural model:
a = 6.885 Å, b = 7.950 Å, c = 9.254 Å
α = 108.33°, β = 107.71°, γ = 94.39°
Sites, in units of the cell vectors:
Ba 0.125 0.372 0.252
Ba 0.875 0.628 0.748
S 0.030 0.218 0.777
S 0.113 0.008 0.445
S 0.141 0.004 0.992
S 0.210 0.724 0.153
S 0.790 0.276 0.847
S 0.859 0.996 0.008
S 0.887 0.992 0.555
S 0.970 0.782 0.223
I 0.338 0.596 0.670
I 0.662 0.404 0.330